Starting from a structure optimized by DFT (PBE), the XRD peak list of NdZn3Pd2 was calculated for a wavelength of 1.5418 Å.
Neutral-atom scattering factors, no anomalous dispersion.

Main lines, by angle (2θ from 5° to 70°):
- hkl 4 0 -2, d = 3.245 Å, 27.48 deg, I 18
- hkl 3 1 0, d = 2.971 Å, 30.08 deg, I 20
- hkl 1 1 -2, d = 2.939 Å, 30.42 deg, I 29
- hkl 4 0 1, d = 2.511 Å, 35.76 deg, I 33
- hkl 3 1 1, d = 2.492 Å, 36.04 deg, I 66
- hkl 5 1 -2, d = 2.303 Å, 39.11 deg, I 100
- hkl 1 1 -3, d = 2.254 Å, 40.00 deg, I 57
- hkl 0 2 0, d = 2.104 Å, 42.99 deg, I 58
- hkl 8 0 -1, d = 1.706 Å, 53.72 deg, I 20
- hkl 4 2 1, d = 1.613 Å, 57.12 deg, I 18

Atomic structure:
Cell: 14.171 4.208 8.351 Å, 90.00 117.37 90.00°
Space group C2/m (No. 12)
Asymmetric unit:
Nd: 0.138 0.000 0.029 (multiplicity 4)
Zn: 0.048 0.000 0.385 (multiplicity 4)
Zn: 0.094 0.500 0.701 (multiplicity 4)
Zn: 0.200 0.500 0.512 (multiplicity 4)
Pd: 0.048 0.500 0.188 (multiplicity 4)
Pd: 0.211 0.000 0.714 (multiplicity 4)